Diffraction record for WS2ClO8. The powder diffractogram is simulated, not measured: it uses a structure optimized by DFT (PBE+U) and Cu Kα (λ = 1.5418 Å).
Kinematic intensities with the Lorentz-polarization factor, no thermal factor.

The 10 most intense peaks (2θ from 5° to 70°), by angle:
9.87 deg, d 8.966, I 100
19.81 deg, d 4.483, I 9
20.09 deg, d 4.420, I 9
20.59 deg, d 4.313, I 23
22.25 deg, d 3.995, I 29
25.38 deg, d 3.509, I 42
31.07 deg, d 2.878, I 16
32.73 deg, d 2.737, I 9
36.73 deg, d 2.447, I 9
39.51 deg, d 2.281, I 10

Crystal structure
```
WS2ClO8
1.0
4.2708 -2.6526 0.0000
4.2708 2.6526 0.0000
-3.3902 0.0000 8.9656
W S Cl O
1 2 1 8
direct
0.0000 0.0000 0.0000 W
0.4250 0.4250 0.1809 S
0.5750 0.5750 0.8191 S
0.0000 0.0000 0.5000 Cl
0.2511 0.7018 0.8430 O
0.2611 0.2611 0.0522 O
0.2982 0.7489 0.1570 O
0.4138 0.4138 0.3253 O
0.5862 0.5862 0.6747 O
0.7018 0.2511 0.8430 O
0.7389 0.7389 0.9478 O
0.7489 0.2982 0.1570 O
```